Ac4Bi3Br: theoretical X-ray diffraction stick pattern (Cu Ka), based on a cell relaxed with PBE.

Peak list (10 most intense, 2θ = 10–80°, sorted by position)
| two_theta | I_rel |
| --- | --- |
| 10.55 | 11 |
| 29.98 | 100 |
| 30.15 | 61 |
| 31.86 | 12 |
| 42.65 | 12 |
| 43.17 | 22 |
| 53.09 | 19 |
| 53.45 | 38 |
| 70.29 | 9 |
| 71.13 | 10 |

Structure:
```
Ac4Bi3Br
1.0
5.926 -5.930 0.000
5.926 5.930 0.000
-0.010 0.000 4.240
Ac Bi Br
4 3 1
Direct
0.000 0.000 0.000
0.000 0.528 0.000
0.528 0.000 0.000
0.528 0.528 0.000
0.264 0.764 0.500
0.764 0.264 0.500
0.764 0.764 0.500
0.264 0.264 0.002
```


AlInAg6: theoretical X-ray diffraction stick pattern (Cu Ka), based on a cell relaxed with PBE.

Peak list (10 most intense, 2θ = 10–80°, sorted by position)
| two_theta | I_rel |
| --- | --- |
| 22.95 | 40 |
| 33.70 | 13 |
| 34.09 | 14 |
| 37.12 | 16 |
| 38.49 | 19 |
| 38.60 | 51 |
| 38.85 | 72 |
| 39.18 | 67 |
| 40.26 | 100 |
| 40.40 | 52 |

Structure:
```
AlInAg6
1.0
5.283 0.000 0.000
-0.328 5.327 0.000
-0.349 -0.284 5.345
Al In Ag
1 1 6
Direct
0.000 0.000 0.000
0.500 0.500 0.500
0.035 0.441 0.753
0.248 0.960 0.563
0.446 0.751 0.037
0.554 0.249 0.963
0.752 0.040 0.437
0.965 0.559 0.247
```


Sm2Dy2Te2Se3: theoretical X-ray diffraction stick pattern (Cu Ka), based on a cell relaxed with PBE.

Peak list (10 most intense, 2θ = 10–80°, sorted by position)
| two_theta | I_rel |
| --- | --- |
| 22.46 | 13 |
| 25.12 | 12 |
| 31.92 | 100 |
| 32.49 | 39 |
| 45.75 | 24 |
| 46.18 | 29 |
| 56.91 | 17 |
| 67.03 | 10 |
| 75.86 | 14 |
| 76.14 | 9 |

Structure:
```
Sm2Dy2Te2Se3
1.0
-2.805 2.805 7.911
2.805 -2.805 7.911
2.805 2.805 -7.911
Sm Dy Te Se
2 2 2 3
Direct
0.194 0.194 0.000
0.806 0.806 0.000
0.000 0.500 0.500
0.500 0.000 0.500
0.394 0.394 0.000
0.606 0.606 0.000
0.000 0.000 0.000
0.250 0.750 0.500
0.750 0.250 0.500
```


Ti6MnPd3: theoretical X-ray diffraction stick pattern (Cu Ka), based on a cell relaxed with PBE.

Peak list (10 most intense, 2θ = 10–80°, sorted by position)
| two_theta | I_rel |
| --- | --- |
| 20.56 | 37 |
| 23.38 | 33 |
| 29.71 | 49 |
| 36.18 | 100 |
| 39.09 | 33 |
| 39.39 | 74 |
| 39.87 | 74 |
| 41.58 | 62 |
| 45.21 | 37 |
| 52.52 | 33 |

Structure:
```
Ti6MnPd3
1.0
4.989 0.000 0.000
0.000 7.611 0.000
-4.959 0.000 8.687
Ti Mn Pd
12 2 6
Direct
0.010 0.187 0.444
0.010 0.313 0.944
0.373 0.063 0.230
0.373 0.437 0.730
0.381 0.665 0.464
0.381 0.835 0.964
0.619 0.165 0.036
0.619 0.335 0.536
0.627 0.563 0.270
0.627 0.937 0.770
0.990 0.687 0.056
0.990 0.813 0.556
0.000 0.000 0.000
0.000 0.500 0.500
0.091 0.101 0.744
0.091 0.399 0.244
0.500 0.000 0.500
0.500 0.500 0.000
0.909 0.601 0.756
0.909 0.899 0.256
```


NaGaH4: theoretical X-ray diffraction stick pattern (Cu Ka), based on a cell relaxed with PBE.

Peak list (10 most intense, 2θ = 10–80°, sorted by position)
| two_theta | I_rel |
| --- | --- |
| 19.12 | 49 |
| 25.18 | 100 |
| 31.82 | 29 |
| 34.23 | 86 |
| 35.91 | 35 |
| 50.46 | 56 |
| 51.70 | 13 |
| 58.35 | 17 |
| 63.48 | 14 |
| 75.14 | 16 |

Structure:
```
NaGaH4
1.0
-3.536 3.536 3.075
3.536 -3.536 3.075
3.536 3.536 -3.075
Na Ga H
2 2 8
Direct
0.375 0.625 0.750
0.625 0.375 0.250
0.125 0.875 0.250
0.875 0.125 0.750
0.148 0.718 0.430
0.212 0.282 0.930
0.282 0.212 0.430
0.282 0.852 0.070
0.718 0.148 0.930
0.718 0.788 0.570
0.788 0.718 0.070
0.852 0.282 0.570
```


Pm7Dy6Er16: theoretical X-ray diffraction stick pattern (Cu Ka), based on a cell relaxed with PBE.

Peak list (10 most intense, 2θ = 10–80°, sorted by position)
| two_theta | I_rel |
| --- | --- |
| 28.11 | 7 |
| 29.85 | 29 |
| 32.57 | 100 |
| 44.76 | 13 |
| 46.73 | 13 |
| 50.85 | 5 |
| 56.44 | 9 |
| 58.12 | 21 |
| 61.70 | 17 |
| 68.23 | 5 |

Structure:
```
Pm7Dy6Er16
1.0
0.000 7.776 7.776
7.776 0.000 7.776
7.776 7.776 0.000
Pm Dy Er
7 6 16
Direct
0.000 0.000 0.000
0.000 0.000 0.500
0.000 0.500 0.000
0.000 0.500 0.500
0.500 0.000 0.000
0.500 0.000 0.500
0.500 0.500 0.000
0.224 0.224 0.776
0.224 0.776 0.224
0.224 0.776 0.776
0.776 0.224 0.224
0.776 0.224 0.776
0.776 0.776 0.224
0.149 0.149 0.149
0.149 0.149 0.552
0.149 0.552 0.149
0.160 0.613 0.613
0.387 0.387 0.387
0.387 0.387 0.840
0.387 0.840 0.387
0.448 0.851 0.851
0.552 0.149 0.149
0.613 0.160 0.613
0.613 0.613 0.160
0.613 0.613 0.613
0.840 0.387 0.387
0.851 0.448 0.851
0.851 0.851 0.448
0.851 0.851 0.851
```


SnAuS2: theoretical X-ray diffraction stick pattern (Cu Ka), based on a cell relaxed with PBE.

Peak list (10 most intense, 2θ = 10–80°, sorted by position)
| two_theta | I_rel |
| --- | --- |
| 19.45 | 22 |
| 24.94 | 71 |
| 27.46 | 100 |
| 29.41 | 45 |
| 38.63 | 26 |
| 39.41 | 22 |
| 44.19 | 29 |
| 45.31 | 16 |
| 48.05 | 43 |
| 52.41 | 20 |

Structure:
```
SnAuS2
1.0
4.661 0.000 0.000
0.000 8.006 0.000
0.000 0.000 5.555
Sn Au S
2 2 4
Direct
0.000 0.128 0.000
0.500 0.872 0.500
0.000 0.634 0.874
0.500 0.366 0.374
0.000 0.384 0.255
0.000 0.884 0.309
0.500 0.116 0.809
0.500 0.616 0.755
```